(1)
Diffraction record for MgTe2MoW3Se4S2. The powder X-ray diffraction pattern is simulated, not measured: it uses a GGA-PBE-relaxed structure and Cu Kα (weighted mean of Kα1 and Kα2).

Structure:
```
data_MgTe2MoW3Se4S2
_space_group_name_H-M_alt 'P 3 m 1'
_space_group_IT_number 156
_cell_length_a 3.3359
_cell_length_b 3.3359
_cell_length_c 45.3347
_cell_angle_alpha 90.00
_cell_angle_beta 90.00
_cell_angle_gamma 120.00
loop_
_space_group_symop_operation_xyz
'x,y,z'
'-y,x-y,z'
'-x+y,-x,z'
'-y,-x,z'
'-x+y,y,z'
'x,x-y,z'
loop_
_atom_site_label
_atom_site_fract_x
_atom_site_fract_y
_atom_site_fract_z
Mg1 0.0000 0.0000 0.0000
Te1 0.6667 0.3333 0.4929
Te2 0.6667 0.3333 0.5767
Mo1 0.3333 0.6667 0.5348
W1 0.3333 0.6667 0.9041
W2 0.6667 0.3333 0.1059
W3 0.6667 0.3333 0.7234
Se1 0.3333 0.6667 0.0686
Se2 0.3333 0.6667 0.1429
Se3 0.3333 0.6667 0.6864
Se4 0.3333 0.6667 0.7604
S1 0.6667 0.3333 0.8707
S2 0.6667 0.3333 0.9380
```

Principal peaks in the range 2θ from 5° to 70°, low angle first:
2θ (°)  d_spacing  I/Imax  hkl
5.85  15.112  33  0 0 3
9.75  9.067  100  0 0 5
11.71  7.556  20  0 0 6
30.97  2.888  17  1 0 0
32.53  2.753  11  0 1 5
34.86  2.574  27  1 0 8
40.55  2.225  33  1 0 13
41.89  2.157  10  0 0 21
55.06  1.668  13  1 1 0
56.06  1.640  8  1 1 5

---

(2)
Diffraction record for Li2FeN. The powder X-ray diffraction pattern is simulated, not measured: it uses a GGA-PBE-relaxed structure and Cu Kα (weighted mean of Kα1 and Kα2).

Structure:
```
data_Li2FeN
_space_group_name_H-M_alt 'P 6/m m m'
_space_group_IT_number 191
_space_group_name_Hall '-P 6 2'
_cell_length_a 3.6460
_cell_length_b 3.6460
_cell_length_c 3.7453
_cell_angle_alpha 90.00
_cell_angle_beta 90.00
_cell_angle_gamma 120.00
loop_
_atom_site_label
_atom_site_fract_x
_atom_site_fract_y
_atom_site_fract_z
Li1 0.3333 0.6667 0.0000
Fe1 0.0000 0.0000 0.5000
N1 0.0000 0.0000 0.0000
```

Principal peaks in the range 2θ from 5° to 70°, low angle first:
2θ (°)  d_spacing  I/Imax  hkl
23.76  3.745  13  0 0 1
28.26  3.158  100  1 0 0
37.25  2.414  52  1 0 1
48.62  1.873  10  0 0 2
50.03  1.823  27  1 1 0
56.11  1.639  8  1 1 1
57.19  1.611  22  1 0 2
58.46  1.579  10  2 0 0
64.00  1.455  10  2 0 1

---

(3)
Diffraction record for ZrNbCN. The powder X-ray diffraction pattern is simulated, not measured: it uses a GGA-PBE-relaxed structure and Cu Kα (weighted mean of Kα1 and Kα2).

Structure:
```
data_ZrNbCN
_space_group_name_H-M_alt 'R 3 m'
_space_group_IT_number 160
_space_group_name_Hall 'R 3 -2"'
_cell_length_a 3.2280
_cell_length_b 3.2280
_cell_length_c 15.9072
_cell_angle_alpha 90.00
_cell_angle_beta 90.00
_cell_angle_gamma 120.00
loop_
_atom_site_label
_atom_site_fract_x
_atom_site_fract_y
_atom_site_fract_z
Zr1 0.0000 0.0000 0.0000
Nb1 0.0000 0.0000 0.4944
C1 0.0000 0.0000 0.7509
N1 0.0000 0.0000 0.2452
```

Principal peaks in the range 2θ from 5° to 70°, low angle first:
2θ (°)  d_spacing  I/Imax  hkl
33.81  2.651  31  0 0 6
33.99  2.637  91  0 1 2
39.40  2.287  100  1 0 4
43.07  2.100  1  0 1 5
56.82  1.620  32  0 1 8
57.06  1.614  32  1 1 0
67.78  1.383  12  1 0 10
68.00  1.379  25  1 1 6
68.11  1.377  12  2 0 2